[1]
Computed powder diffractogram
Compound: Li2SnPt
Radiation: Cu Kα (λ = 1.5418 Å)
Structure: DFT lattice parameters and positions (PBE)
Lines closer than 0.1° are merged.

Structural model:
a = 6.363 Å, b = 6.363 Å, c = 6.363 Å
α = 90.00°, β = 90.00°, γ = 90.00°
Space group F-43m (No. 216)
Inequivalent atoms, fractional coordinates:
1 Li 0.000 0.000 0.000 (multiplicity 4)
2 Li 0.250 0.250 0.250 (multiplicity 4)
3 Sn 0.000 0.000 0.500 (multiplicity 4)
4 Pt 0.250 0.250 0.750 (multiplicity 4)

Largest 8 diffraction maxima, in order of falling intensity, 5° ≤ 2θ ≤ 70°:
- (1 1 1), 24.23°, I = 100
- (2 2 0), 40.08°, I = 89
- (3 1 1), 47.39°, I = 51
- (3 3 1), 63.76°, I = 21
- (4 0 0), 57.98°, I = 15
- (2 0 0), 28.05°, I = 5
- (4 2 0), 65.62°, I = 2
- (2 2 2), 49.63°, I = 1


[2]
Computed powder diffractogram
Compound: Cu8GeSe6
Radiation: Cu Kα (λ = 1.5418 Å)
Structure: DFT lattice parameters and positions (PBE)
Lines closer than 0.1° are merged.

Structural model:
a = 7.460 Å, b = 12.837 Å, c = 11.645 Å
α = 90.00°, β = 90.23°, γ = 90.00°
Space group Cc (No. 9)
Inequivalent atoms, fractional coordinates:
1 Cu 0.000 0.018 0.000 (multiplicity 4)
2 Cu 0.208 0.236 0.741 (multiplicity 4)
3 Cu 0.211 0.093 0.377 (multiplicity 4)
4 Cu 0.273 0.256 0.499 (multiplicity 4)
5 Cu 0.276 0.407 0.875 (multiplicity 4)
6 Cu 0.286 0.268 0.251 (multiplicity 4)
7 Cu 0.492 0.470 0.251 (multiplicity 4)
8 Cu 0.494 0.188 0.874 (multiplicity 4)
9 Ge 0.487 0.001 0.620 (multiplicity 4)
10 Se 0.009 0.172 0.880 (multiplicity 4)
11 Se 0.219 0.091 0.167 (multiplicity 4)
12 Se 0.261 0.412 0.665 (multiplicity 4)
13 Se 0.482 0.329 0.014 (multiplicity 4)
14 Se 0.494 0.000 0.416 (multiplicity 4)
15 Se 0.495 0.182 0.664 (multiplicity 4)

Largest 10 diffraction maxima, in order of falling intensity, 5° ≤ 2θ ≤ 70°:
- (2 2 -1), 28.72°, I = 100
- (2 6 0), 49.09°, I = 86
- (4 0 0), 48.84°, I = 68
- (1 1 4), 33.79°, I = 55
- (0 4 1), 28.86°, I = 55
- (0 4 5), 48.28°, I = 44
- (1 5 -4), 48.77°, I = 41
- (2 2 4), 41.89°, I = 39
- (2 0 2), 28.50°, I = 37
- (1 1 -3), 26.81°, I = 26


Number 2 is which compound? Cu8GeSe6